Diffraction record for Cr5Cl4. The powder X-ray diffraction pattern is calculated, not measured: it uses the GGA-PBE geometry in Alexandria and a wavelength of 1.5418 Å.
Intensities are scaled so that the largest is 100.

Top 6 peaks for 2θ from 5° to 70°, low angle first:
- 34.4 deg, I = 100
- 37.0 deg, I = 42
- 39.4 deg, I = 47
- 53.0 deg, I = 13
- 53.3 deg, I = 17
- 67.8 deg, I = 16

Structure:
a = 7.9205 Å, b = 7.9205 Å, c = 6.9423 Å
α = 90.00°, β = 90.00°, γ = 120.00°
Sites, in units of the cell vectors:
1 Cr 0.0000 0.2734 0.2500
2 Cr 0.0000 0.7266 0.7500
3 Cr 0.2734 0.0000 0.2500
4 Cr 0.2734 0.2734 0.7500
5 Cr 0.3333 0.6667 0.0000
6 Cr 0.3333 0.6667 0.5000
7 Cr 0.6667 0.3333 0.0000
8 Cr 0.6667 0.3333 0.5000
9 Cr 0.7266 0.0000 0.7500
10 Cr 0.7266 0.7266 0.2500
11 Cl 0.0000 0.0000 0.0000
12 Cl 0.0000 0.0000 0.5000
13 Cl 0.0000 0.3947 0.7500
14 Cl 0.0000 0.6053 0.2500
15 Cl 0.3947 0.0000 0.7500
16 Cl 0.3947 0.3947 0.2500
17 Cl 0.6053 0.0000 0.2500
18 Cl 0.6053 0.6053 0.7500